[1]
Simulated powder diffractogram
Compound: AlZnH4O2F5
Radiation: Cu Kα X-rays
Structure: DFT lattice parameters and positions (GGA-PBE)
Lines closer than 0.1° are merged.

Crystal structure
```
data_AlZnH4O2F5
_chemical_formula_sum 'Al4 Zn4 H16 O8 F20'
_cell_length_a 7.305
_cell_length_b 10.612
_cell_length_c 6.451
_cell_angle_alpha 90.00
_cell_angle_beta 90.00
_cell_angle_gamma 90.00
_space_group_name_H-M_alt 'I m m a'
_space_group_IT_number 74
_space_group_name_Hall '-I 2b 2'
loop_
_atom_site_label
_atom_site_fract_x
_atom_site_fract_y
_atom_site_fract_z
Al1 0.250 0.250 0.250
Zn1 0.000 0.000 0.000
H1 0.108 0.092 0.624
O1 0.000 0.070 0.708
F1 0.000 0.250 0.307
F2 0.217 0.128 0.054
```

The 10 most intense peaks (10 to 80 degrees two-theta), in order of rising 2θ:
(hkl), 2θ/deg, intensity
0 1 1, 16.08, 736
1 0 1, 18.35, 917
1 2 1, 24.91, 1000
0 3 1, 28.78, 303
2 2 0, 29.69, 703
0 2 2, 32.49, 435
2 4 0, 42.10, 393
1 0 3, 43.89, 317
2 4 2, 51.11, 537
3 4 1, 52.98, 286

[2]
Simulated powder diffractogram
Compound: AlHgF
Radiation: Cu Kα X-rays
Structure: DFT lattice parameters and positions (GGA-PBE)
Lines closer than 0.1° are merged.

Crystal structure
```
data_AlHgF
_chemical_formula_sum 'Al4 Hg4 F4'
_cell_length_a 14.544
_cell_length_b 2.856
_cell_length_c 5.750
_cell_angle_alpha 90.00
_cell_angle_beta 90.00
_cell_angle_gamma 90.00
_space_group_name_H-M_alt 'A m m 2'
_space_group_IT_number 38
loop_
_space_group_symop_operation_xyz
'x,y,z'
'-x,-y,z'
'-x,y,z'
'x,-y,z'
'x,y+1/2,z+1/2'
'-x,-y+1/2,z+1/2'
'-x,y+1/2,z+1/2'
'x,-y+1/2,z+1/2'
loop_
_atom_site_label
_atom_site_fract_x
_atom_site_fract_y
_atom_site_fract_z
Al1 0.182 0.000 0.000
Hg1 0.000 0.000 0.500
Hg2 0.500 0.000 0.254
F1 0.272 0.000 0.500
```

The 10 most intense peaks (10 to 80 degrees two-theta), in order of rising 2θ:
(hkl), 2θ/deg, intensity
2 0 0, 12.17, 1000
4 0 0, 24.48, 382
1 0 2, 31.72, 382
0 1 1, 35.08, 129
1 1 1, 35.64, 221
3 0 2, 36.33, 205
2 1 1, 37.26, 233
3 1 1, 39.85, 261
4 1 1, 43.24, 190
5 0 2, 44.30, 158